[1]
This entry pairs a crystal structure of CsPdS4 with its calculated powder diffraction line list. Radiation: Cu Kα X-rays. Structure: a crystal structure in Alexandria, relaxed with PBE.
No peak broadening, texture or thermal motion is included.

Main lines, low angle first (2θ from 5° to 70°):
2θ (°)	d_spacing	I (rel.)
21.41	4.151	100
21.98	4.045	56
30.45	2.935	27
37.87	2.376	58
38.89	2.316	26
49.35	1.847	17
51.54	1.773	18
59.10	1.563	19

Structure:
Cell lengths 8.100, 8.100, 8.100 Å; angles 118.34, 118.34, 92.91 degrees
Atoms (fractional coordinates):
Cs 0.375 0.125 0.250
Cs 0.625 0.875 0.750
Pd 0.125 0.375 0.750
Pd 0.875 0.625 0.250
S 0.021 0.935 0.326
S 0.108 0.695 0.174
S 0.195 0.521 0.587
S 0.435 0.608 0.913
S 0.565 0.392 0.087
S 0.805 0.479 0.413
S 0.892 0.305 0.826
S 0.979 0.065 0.674


[2]
This entry pairs a crystal structure of Rh3PbO6 with its calculated powder diffraction line list. Radiation: Cu Kα X-rays. Structure: a crystal structure in Alexandria, relaxed with PBE.
No peak broadening, texture or thermal motion is included.

Main lines, low angle first (2θ from 5° to 70°):
2θ (°)	d_spacing	I (rel.)
14.84	5.970	18
29.93	2.985	100
32.78	2.732	88
34.50	2.600	26
37.31	2.410	41
51.73	1.767	57
61.11	1.516	29
66.08	1.414	21

Structure:
Cell lengths 6.350, 6.350, 3.211 Å; angles 90.00, 90.00, 109.92 degrees
Atoms (fractional coordinates):
Rh 0.000 0.000 0.000
Rh 0.000 0.500 0.500
Rh 0.500 0.000 0.500
Pb 0.500 0.500 0.000
O 0.071 0.331 0.000
O 0.329 0.671 0.500
O 0.331 0.071 0.000
O 0.669 0.929 0.000
O 0.671 0.329 0.500
O 0.929 0.669 0.000


[3]
This entry pairs a crystal structure of Tl2CuBiCl6 with its calculated powder diffraction line list. Radiation: Cu Kα X-rays. Structure: a crystal structure in Alexandria, relaxed with PBE.
No peak broadening, texture or thermal motion is included.

Main lines, low angle first (2θ from 5° to 70°):
2θ (°)	d_spacing	I (rel.)
23.35	3.810	100
24.54	3.628	47
29.20	3.059	17
34.92	2.569	21
35.04	2.561	20
40.29	2.239	22
42.48	2.128	43
47.74	1.905	19

Structure:
Cell lengths 7.667, 7.656, 7.255 Å; angles 61.81, 61.66, 56.52 degrees
Atoms (fractional coordinates):
Tl 0.000 0.000 0.500
Tl 0.500 0.500 0.000
Cu 0.237 0.237 0.763
Bi 0.698 0.698 0.302
Cl 0.415 0.950 0.585
Cl 0.417 0.949 0.051
Cl 0.444 0.444 0.556
Cl 0.927 0.927 0.073
Cl 0.949 0.417 0.583
Cl 0.950 0.415 0.050


[4]
This entry pairs a crystal structure of La6As3S2I with its calculated powder diffraction line list. Radiation: Cu Kα X-rays. Structure: a crystal structure in Alexandria, relaxed with PBE.
No peak broadening, texture or thermal motion is included.

Main lines, low angle first (2θ from 5° to 70°):
2θ (°)	d_spacing	I (rel.)
25.18	3.537	14
29.08	3.071	100
41.40	2.181	24
41.48	2.177	12
41.65	2.168	13
41.82	2.160	24
51.62	1.771	13
68.63	1.367	10

Structure:
Cell lengths 9.672, 9.672, 8.708 Å; angles 102.24, 102.24, 25.91 degrees
Atoms (fractional coordinates):
La 0.004 0.004 0.276
La 0.323 0.323 0.907
La 0.332 0.332 0.417
La 0.668 0.668 0.583
La 0.677 0.677 0.093
La 0.996 0.996 0.724
As 0.162 0.162 0.834
As 0.500 0.500 0.500
As 0.838 0.838 0.166
S 0.169 0.169 0.335
S 0.831 0.831 0.665
I 0.500 0.500 0.000


[5]
This entry pairs a crystal structure of VCoH with its calculated powder diffraction line list. Radiation: Cu Kα X-rays. Structure: a crystal structure in Alexandria, relaxed with PBE.
No peak broadening, texture or thermal motion is included.

Main lines, low angle first (2θ from 5° to 70°):
2θ (°)	d_spacing	I (rel.)
20.67	4.298	4
40.34	2.236	2
42.05	2.149	32
42.21	2.141	100
49.09	1.856	64
53.80	1.704	2
65.11	1.433	1
65.23	1.430	2

Structure:
Cell lengths 4.557, 4.557, 4.557 Å; angles 33.43, 33.43, 33.43 degrees
Atoms (fractional coordinates):
V 0.000 0.000 0.000
Co 0.489 0.489 0.489
H 0.236 0.236 0.236


[6]
This entry pairs a crystal structure of CeSm7Y12 with its calculated powder diffraction line list. Radiation: Cu Kα X-rays. Structure: a crystal structure in Alexandria, relaxed with PBE.
No peak broadening, texture or thermal motion is included.

Main lines, low angle first (2θ from 5° to 70°):
2θ (°)	d_spacing	I (rel.)
10.10	8.757	12
30.57	2.925	100
30.81	2.902	27
32.26	2.775	59
32.39	2.764	48
38.34	2.348	13
53.17	1.723	12
56.45	1.630	14

Structure:
Cell lengths 8.758, 8.758, 8.758 Å; angles 90.37, 90.37, 90.37 degrees
Atoms (fractional coordinates):
Ce 0.000 0.000 0.000
Sm 0.034 0.327 0.937
Sm 0.063 0.966 0.673
Sm 0.327 0.937 0.034
Sm 0.500 0.500 0.500
Sm 0.673 0.063 0.966
Sm 0.937 0.034 0.327
Sm 0.966 0.673 0.063
Y 0.125 0.352 0.456
Y 0.225 0.768 0.373
Y 0.232 0.627 0.775
Y 0.352 0.456 0.125
Y 0.373 0.225 0.768
Y 0.456 0.125 0.352
Y 0.544 0.875 0.648
Y 0.627 0.775 0.232
Y 0.648 0.544 0.875
Y 0.768 0.373 0.225
Y 0.775 0.232 0.627
Y 0.875 0.648 0.544


[7]
This entry pairs a crystal structure of Mg3Os with its calculated powder diffraction line list. Radiation: Cu Kα X-rays. Structure: a crystal structure in Alexandria, relaxed with PBE.
No peak broadening, texture or thermal motion is included.

Main lines, low angle first (2θ from 5° to 70°):
2θ (°)	d_spacing	I (rel.)
9.25	9.563	100
18.56	4.781	21
34.96	2.567	18
36.24	2.479	22
37.62	2.391	9
39.87	2.261	40
45.37	1.999	15
52.30	1.749	12

Structure:
Cell lengths 2.964, 2.964, 9.563 Å; angles 90.00, 90.00, 120.00 degrees
Atoms (fractional coordinates):
Mg 0.000 0.000 0.000
Mg 0.333 0.667 0.276
Mg 0.333 0.667 0.724
Os 0.000 0.000 0.500


[8]
This entry pairs a crystal structure of Li14Cu2S9 with its calculated powder diffraction line list. Radiation: Cu Kα X-rays. Structure: a crystal structure in Alexandria, relaxed with PBE.
No peak broadening, texture or thermal motion is included.

Main lines, low angle first (2θ from 5° to 70°):
2θ (°)	d_spacing	I (rel.)
17.22	5.148	100
25.43	3.502	15
27.06	3.295	73
27.49	3.245	28
40.42	2.232	19
44.83	2.022	47
45.38	1.999	50
53.39	1.716	19

Structure:
Cell lengths 7.004, 7.004, 9.735 Å; angles 90.00, 90.00, 120.00 degrees
Atoms (fractional coordinates):
Li 0.000 0.000 0.249
Li 0.000 0.000 0.751
Li 0.014 0.669 0.411
Li 0.036 0.364 0.093
Li 0.328 0.964 0.093
Li 0.331 0.345 0.411
Li 0.345 0.014 0.589
Li 0.364 0.328 0.907
Li 0.636 0.672 0.093
Li 0.655 0.986 0.411
Li 0.669 0.655 0.589
Li 0.672 0.036 0.907
Li 0.964 0.636 0.907
Li 0.986 0.331 0.589
Cu 0.333 0.667 0.757
Cu 0.667 0.333 0.243
S 0.000 0.000 0.500
S 0.032 0.342 0.839
S 0.309 0.968 0.839
S 0.333 0.667 0.516
S 0.342 0.309 0.161
S 0.658 0.691 0.839
S 0.667 0.333 0.484
S 0.691 0.032 0.161
S 0.968 0.658 0.161